Diffraction record for GaCu2Te2Se. The PXRD pattern is simulated, not measured: it uses the GGA-PBE geometry in OQMD and copper Kα.

Largest 6 diffraction maxima, in order of falling intensity, 2θ from 10° to 80°:
26.2°, rel. 100
26.7°, rel. 52
26.1°, rel. 51
43.3°, rel. 49
44.0°, rel. 47
51.6°, rel. 32

Structure:
Unit cell a=7.2323 b=7.2323 c=7.1020 alpha=99.74 beta=99.74 gamma=119.81
Sites, in units of the cell vectors:
Ga1 0.0782 0.9218 0.5000
Ga2 0.9218 0.0782 0.0000
Cu1 0.2359 0.7563 0.0090
Cu2 0.4303 0.5995 0.5067
Cu3 0.5995 0.4303 0.0067
Cu4 0.7563 0.2359 0.5090
Te1 0.1249 0.6177 0.6268
Te2 0.3037 0.4720 0.1249
Te3 0.4720 0.3037 0.6249
Te4 0.6177 0.1249 0.1268
Se1 0.7872 0.9534 0.6239
Se2 0.9534 0.7872 0.1239


Diffraction record for GaCu2TeSe2. The PXRD pattern is simulated, not measured: it uses the GGA-PBE geometry in OQMD and copper Kα.

Largest 6 diffraction maxima, in order of falling intensity, 2θ from 10° to 80°:
27.0°, rel. 100
44.4°, rel. 74
27.2°, rel. 54
26.6°, rel. 52
45.2°, rel. 47
53.1°, rel. 29

Structure:
Unit cell a=7.0356 b=7.0356 c=6.9243 alpha=99.32 beta=99.32 gamma=119.58
Sites, in units of the cell vectors:
Ga1 0.0860 0.9140 0.5000
Ga2 0.9140 0.0860 0.0000
Cu1 0.2591 0.7770 0.9889
Cu2 0.4221 0.6071 0.5080
Cu3 0.6071 0.4221 0.0080
Cu4 0.7770 0.2591 0.4889
Te1 0.3082 0.4792 0.1209
Te2 0.4792 0.3082 0.6209
Se1 0.1289 0.6270 0.6231
Se2 0.6270 0.1289 0.1231
Se3 0.7915 0.9631 0.6184
Se4 0.9631 0.7915 0.1184


Diffraction record for GaCu2Sn. The PXRD pattern is simulated, not measured: it uses the GGA-PBE geometry in OQMD and copper Kα.

Largest 6 diffraction maxima, in order of falling intensity, 2θ from 10° to 80°:
39.6°, rel. 100
71.8°, rel. 28
57.2°, rel. 15
31.0°, rel. 8
27.7°, rel. 5
64.7°, rel. 4

Structure:
Unit cell a=6.4423 b=6.4423 c=6.4423 alpha=90.00 beta=90.00 gamma=90.00
Sites, in units of the cell vectors:
Ga1 0.0000 0.0000 0.0000
Ga2 0.0000 0.0000 0.5000
Ga3 0.0000 0.5000 0.0000
Ga4 0.5000 0.0000 0.0000
Cu1 0.2244 0.2244 0.2244
Cu2 0.2244 0.2244 0.7756
Cu3 0.2244 0.7756 0.2244
Cu4 0.2244 0.7756 0.7756
Cu5 0.7756 0.2244 0.2244
Cu6 0.7756 0.2244 0.7756
Cu7 0.7756 0.7756 0.2244
Cu8 0.7756 0.7756 0.7756
Sn1 0.0000 0.5000 0.5000
Sn2 0.5000 0.0000 0.5000
Sn3 0.5000 0.5000 0.0000
Sn4 0.5000 0.5000 0.5000


Diffraction record for GaCu2Sn. The PXRD pattern is simulated, not measured: it uses the GGA-PBE geometry in OQMD and copper Kα.

Largest 6 diffraction maxima, in order of falling intensity, 2θ from 10° to 80°:
39.6°, rel. 100
71.9°, rel. 29
57.3°, rel. 15
31.1°, rel. 7
27.7°, rel. 5
64.8°, rel. 4

Structure:
Unit cell a=6.4365 b=6.4365 c=6.4365 alpha=90.00 beta=90.00 gamma=90.00
Sites, in units of the cell vectors:
Ga1 0.0000 0.0000 0.0000
Ga2 0.0000 0.0000 0.5000
Ga3 0.0000 0.5000 0.0000
Ga4 0.5000 0.0000 0.0000
Cu1 0.2255 0.2255 0.2255
Cu2 0.2255 0.2255 0.7745
Cu3 0.2255 0.7745 0.2255
Cu4 0.2255 0.7745 0.7745
Cu5 0.7745 0.2255 0.2255
Cu6 0.7745 0.2255 0.7745
Cu7 0.7745 0.7745 0.2255
Cu8 0.7745 0.7745 0.7745
Sn1 0.0000 0.5000 0.5000
Sn2 0.5000 0.0000 0.5000
Sn3 0.5000 0.5000 0.0000
Sn4 0.5000 0.5000 0.5000


Diffraction record for Tb3Ga5Cu. The PXRD pattern is simulated, not measured: it uses the GGA-PBE geometry in OQMD and copper Kα.

Largest 6 diffraction maxima, in order of falling intensity, 2θ from 10° to 80°:
33.2°, rel. 100
36.5°, rel. 73
39.4°, rel. 37
42.7°, rel. 27
59.2°, rel. 24
59.4°, rel. 22

Structure:
Unit cell a=6.9925 b=6.9925 c=4.2391 alpha=90.00 beta=90.00 gamma=120.00
Sites, in units of the cell vectors:
Tb1 0.0000 0.5940 0.0000
Tb2 0.4060 0.4060 0.0000
Tb3 0.5940 0.0000 0.0000
Ga1 0.0000 0.2374 0.5000
Ga2 0.2374 0.0000 0.5000
Ga3 0.3333 0.6667 0.5000
Ga4 0.6667 0.3333 0.5000
Ga5 0.7626 0.7626 0.5000
Cu1 0.0000 0.0000 0.0000


Diffraction record for Tb3Ga4Cu2. The PXRD pattern is simulated, not measured: it uses the GGA-PBE geometry in OQMD and copper Kα.

Largest 6 diffraction maxima, in order of falling intensity, 2θ from 10° to 80°:
41.2°, rel. 100
34.4°, rel. 96
34.5°, rel. 94
23.5°, rel. 35
54.7°, rel. 24
54.9°, rel. 23

Structure:
Unit cell a=5.6732 b=5.6732 c=8.3630 alpha=109.76 beta=109.76 gamma=45.41
Sites, in units of the cell vectors:
Tb1 0.0000 0.0000 0.0000
Tb2 0.3278 0.3278 0.3463
Tb3 0.6722 0.6722 0.6537
Ga1 0.0352 0.0352 0.3662
Ga2 0.2684 0.2684 0.9246
Ga3 0.7316 0.7316 0.0754
Ga4 0.9648 0.9648 0.6338
Cu1 0.4023 0.4023 0.7308
Cu2 0.5977 0.5977 0.2692


Diffraction record for ZrGaCu2Te4. The PXRD pattern is simulated, not measured: it uses the GGA-PBE geometry in OQMD and copper Kα.

Largest 6 diffraction maxima, in order of falling intensity, 2θ from 10° to 80°:
24.8°, rel. 100
41.0°, rel. 49
48.8°, rel. 29
41.3°, rel. 23
48.3°, rel. 16
75.1°, rel. 14

Structure:
Unit cell a=7.6412 b=7.6412 c=7.6412 alpha=132.25 beta=132.25 gamma=69.84
Sites, in units of the cell vectors:
Zr1 0.0000 0.0000 0.0000
Ga1 0.7500 0.2500 0.5000
Cu1 0.2500 0.7500 0.5000
Cu2 0.5000 0.5000 0.0000
Te1 0.1467 0.6207 0.0200
Te2 0.3793 0.3993 0.5259
Te3 0.6007 0.1267 0.9800
Te4 0.8733 0.8533 0.4741


Diffraction record for ZnGa2Cu5. The PXRD pattern is simulated, not measured: it uses the GGA-PBE geometry in OQMD and copper Kα.

Largest 3 diffraction maxima, in order of falling intensity, 2θ from 10° to 80°:
43.4°, rel. 100
79.7°, rel. 30
63.1°, rel. 15

Structure:
Unit cell a=4.1669 b=4.1669 c=5.8898 alpha=90.00 beta=90.00 gamma=90.00
Sites, in units of the cell vectors:
Zn1 0.0000 0.0000 0.0000
Ga1 0.0000 0.0000 0.5000
Ga2 0.5000 0.5000 0.0000
Cu1 0.0000 0.5000 0.2509
Cu2 0.0000 0.5000 0.7491
Cu3 0.5000 0.0000 0.2509
Cu4 0.5000 0.0000 0.7491
Cu5 0.5000 0.5000 0.5000


Diffraction record for ZnGa2Cu5. The PXRD pattern is simulated, not measured: it uses the GGA-PBE geometry in OQMD and copper Kα.

Largest 3 diffraction maxima, in order of falling intensity, 2θ from 10° to 80°:
43.4°, rel. 100
79.7°, rel. 30
63.1°, rel. 15

Structure:
Unit cell a=4.1669 b=4.1669 c=5.8898 alpha=90.00 beta=90.00 gamma=90.00
Sites, in units of the cell vectors:
Zn1 0.0000 0.0000 0.0000
Ga1 0.0000 0.0000 0.5000
Ga2 0.5000 0.5000 0.0000
Cu1 0.0000 0.5000 0.2509
Cu2 0.0000 0.5000 0.7491
Cu3 0.5000 0.0000 0.2509
Cu4 0.5000 0.0000 0.7491
Cu5 0.5000 0.5000 0.5000


Diffraction record for PrGdCu2Ge4. The PXRD pattern is simulated, not measured: it uses the GGA-PBE geometry in OQMD and copper Kα.

Largest 6 diffraction maxima, in order of falling intensity, 2θ from 10° to 80°:
33.8°, rel. 100
42.7°, rel. 56
33.6°, rel. 40
37.9°, rel. 24
72.5°, rel. 21
30.3°, rel. 19

Structure:
Unit cell a=4.2353 b=8.8471 c=8.8471 alpha=27.72 beta=90.00 gamma=90.00
Sites, in units of the cell vectors:
Pr1 0.0000 0.0000 0.0000
Gd1 0.5000 0.2086 0.2086
Cu1 0.0000 0.7783 0.7783
Cu2 0.5000 0.4289 0.4289
Ge1 0.0000 0.3521 0.3521
Ge2 0.0000 0.6431 0.6431
Ge3 0.5000 0.5671 0.5671
Ge4 0.5000 0.8531 0.8531


Diffraction record for GdSc2Cu4Ge4. The PXRD pattern is simulated, not measured: it uses the GGA-PBE geometry in OQMD and copper Kα.

Largest 6 diffraction maxima, in order of falling intensity, 2θ from 10° to 80°:
35.4°, rel. 100
37.1°, rel. 91
44.8°, rel. 43
48.7°, rel. 40
45.2°, rel. 34
35.7°, rel. 27

Structure:
Unit cell a=7.8244 b=7.8244 c=7.8244 alpha=150.03 beta=129.20 gamma=60.11
Sites, in units of the cell vectors:
Gd1 0.0000 0.0000 0.0000
Sc1 0.3735 0.8735 0.5000
Sc2 0.6265 0.1265 0.5000
Cu1 0.0210 0.3286 0.6924
Cu2 0.3638 0.6714 0.6924
Cu3 0.6362 0.3286 0.3076
Cu4 0.9790 0.6714 0.3076
Ge1 0.2220 0.2220 0.0000
Ge2 0.3141 0.5000 0.8141
Ge3 0.6859 0.5000 0.1859
Ge4 0.7780 0.7780 0.0000


Diffraction record for Gd2YCu4Sn2Ge2. The PXRD pattern is simulated, not measured: it uses the GGA-PBE geometry in OQMD and copper Kα.

Largest 6 diffraction maxima, in order of falling intensity, 2θ from 10° to 80°:
34.7°, rel. 100
34.2°, rel. 73
41.2°, rel. 38
33.6°, rel. 27
38.6°, rel. 20
44.6°, rel. 16

Structure:
Unit cell a=8.3037 b=8.3037 c=8.3037 alpha=149.40 beta=132.30 gamma=57.74
Sites, in units of the cell vectors:
Gd1 0.1256 0.1256 0.0000
Gd2 0.8744 0.8744 0.0000
Y1 0.5000 0.0000 0.5000
Cu1 0.1515 0.3407 0.8108
Cu2 0.4702 0.6593 0.8108
Cu3 0.5298 0.3407 0.1892
Cu4 0.8485 0.6593 0.1892
Sn1 0.2825 0.7825 0.5000
Sn2 0.7175 0.2175 0.5000
Ge1 0.1910 0.5000 0.6910
Ge2 0.8090 0.5000 0.3090